No. 1
Simulated PXRD pattern
Compound: Y2MgGe2
Radiation: Cu Kα, 1.54184 Å
Structure: a DFT-relaxed cell (PBE, the Materials Project)

Crystal structure
Cell lengths 7.2703, 7.2703, 4.2789 Å; angles 90.00, 90.00, 90.00 degrees
Positions (direct):
Y1 0.1776 0.3224 0.0000
Y2 0.3224 0.8224 0.0000
Y3 0.6776 0.1776 0.0000
Y4 0.8224 0.6776 0.0000
Mg1 0.0000 0.0000 0.5000
Mg2 0.5000 0.5000 0.5000
Ge1 0.1236 0.6236 0.5000
Ge2 0.3764 0.1236 0.5000
Ge3 0.6236 0.8764 0.5000
Ge4 0.8764 0.3764 0.5000

Top 6 peaks for 5° ≤ 2θ ≤ 70°, by angle:
2θ/deg, intensity
17.25, 19
32.31, 22
34.65, 100
39.18, 20
42.24, 17
58.97, 12

No. 2
Simulated PXRD pattern
Compound: MnGe2
Radiation: Cu Kα, 1.54184 Å
Structure: a DFT-relaxed cell (PBE, the Materials Project)

Crystal structure
Cell lengths 4.8637, 4.8637, 4.8637 Å; angles 104.40, 104.40, 120.16 degrees
Positions (direct):
Mn1 0.2500 0.2500 0.0000
Mn2 0.7500 0.7500 0.0000
Ge1 0.1554 0.6554 0.8108
Ge2 0.3446 0.1554 0.5000
Ge3 0.6554 0.8446 0.5000
Ge4 0.8446 0.3446 0.1892

Top 6 peaks for 5° ≤ 2θ ≤ 70°, by angle:
2θ/deg, intensity
38.53, 100
43.02, 29
48.27, 36
48.38, 24
67.61, 10
67.77, 18

No. 3
Simulated PXRD pattern
Compound: MnGe
Radiation: Cu Kα, 1.54184 Å
Structure: a DFT-relaxed cell (PBE, the Materials Project)

Crystal structure
Cell lengths 4.7619, 4.7619, 4.7619 Å; angles 90.00, 90.00, 90.00 degrees
Positions (direct):
Mn1 0.1371 0.3629 0.6371
Mn2 0.3629 0.6371 0.1371
Mn3 0.6371 0.1371 0.3629
Mn4 0.8629 0.8629 0.8629
Ge1 0.1571 0.1571 0.1571
Ge2 0.3429 0.8429 0.6571
Ge3 0.6571 0.3429 0.8429
Ge4 0.8429 0.6571 0.3429

Top 6 peaks for 5° ≤ 2θ ≤ 70°, by angle:
2θ/deg, intensity
32.57, 16
37.78, 10
42.45, 100
46.73, 54
58.11, 7
64.95, 10

No. 4
Simulated PXRD pattern
Compound: Mn3Ge5
Radiation: Cu Kα, 1.54184 Å
Structure: a DFT-relaxed cell (PBE, the Materials Project)

Crystal structure
Cell lengths 5.7042, 5.7042, 13.8289 Å; angles 90.00, 90.00, 90.00 degrees
Positions (direct):
Mn1 0.0000 0.0000 0.0000
Mn2 0.0000 0.0000 0.3278
Mn3 0.0000 0.0000 0.6722
Mn4 0.0000 0.5000 0.2500
Mn5 0.0000 0.5000 0.5870
Mn6 0.0000 0.5000 0.9130
Mn7 0.5000 0.0000 0.0870
Mn8 0.5000 0.0000 0.4130
Mn9 0.5000 0.0000 0.7500
Mn10 0.5000 0.5000 0.1722
Mn11 0.5000 0.5000 0.5000
Mn12 0.5000 0.5000 0.8278
Ge1 0.1567 0.2668 0.4497
Ge2 0.1600 0.8049 0.1509
Ge3 0.1712 0.6712 0.7500
Ge4 0.1951 0.1600 0.8491
Ge5 0.2332 0.3433 0.0503
Ge6 0.2668 0.8433 0.5503
Ge7 0.3049 0.6600 0.3491
Ge8 0.3288 0.1712 0.2500
Ge9 0.3400 0.3049 0.6509
Ge10 0.3433 0.7668 0.9497
Ge11 0.6567 0.2332 0.9497
Ge12 0.6600 0.6951 0.6509
Ge13 0.6712 0.8288 0.2500
Ge14 0.6951 0.3400 0.3491
Ge15 0.7332 0.1567 0.5503
Ge16 0.7668 0.6567 0.0503
Ge17 0.8049 0.8400 0.8491
Ge18 0.8288 0.3288 0.7500
Ge19 0.8400 0.1951 0.1509
Ge20 0.8433 0.7332 0.4497

Top 6 peaks for 5° ≤ 2θ ≤ 70°, by angle:
2θ/deg, intensity
37.58, 86
39.51, 100
40.41, 86
44.95, 32
45.32, 31
52.03, 56

No. 5
Simulated PXRD pattern
Compound: MnGe3
Radiation: Cu Kα, 1.54184 Å
Structure: a DFT-relaxed cell (PBE, the Materials Project)

Crystal structure
Cell lengths 3.9909, 3.9909, 3.9909 Å; angles 90.00, 90.00, 90.00 degrees
Positions (direct):
Mn1 0.0000 0.0000 0.0000
Ge1 0.0000 0.5000 0.5000
Ge2 0.5000 0.0000 0.5000
Ge3 0.5000 0.5000 0.0000

Top 6 peaks for 5° ≤ 2θ ≤ 70°, by angle:
2θ/deg, intensity
22.28, 1
31.71, 1
39.09, 100
45.45, 48
51.18, 1
66.24, 30